Record 1
This entry pairs a crystal structure of LaAl4Cu2Si with its computed X-ray diffraction stick pattern. Radiation: a wavelength of 1.5418 Å. Structure: a GGA-PBE-relaxed structure.
Lines closer than 0.1° are merged.

abc: 4.212 4.256 7.960
angles: 90.00 90.00 90.00
Fractional coordinates of all 8 atoms:
La (0.000, 0.000, 0.000)
Al (0.000, 0.500, 0.338)
Al (0.000, 0.500, 0.677)
Al (0.500, 0.000, 0.344)
Al (0.500, 0.500, 0.140)
Cu (0.000, 0.000, 0.510)
Cu (0.500, 0.500, 0.838)
Si (0.500, 0.000, 0.681)

Most intense lines, 10° ≤ 2θ ≤ 90°, in order of falling intensity:
2θ 37.60, 2.392 Å, I = 100; 2θ 30.76, 2.907 Å, I = 100; 2θ 30.91, 2.893 Å, I = 99; 2θ 31.94, 2.802 Å, I = 96; 2θ 29.84, 2.994 Å, I = 66; 2θ 42.48, 2.128 Å, I = 57; 2θ 42.94, 2.106 Å, I = 56; 2θ 11.12, 7.960 Å, I = 56; 2θ 53.46, 1.714 Å, I = 41; 2θ 53.75, 1.706 Å, I = 40

=====

Record 2
This entry pairs a crystal structure of Li4Al3Cu6 with its computed X-ray diffraction stick pattern. Radiation: a wavelength of 1.5418 Å. Structure: a GGA-PBE-relaxed structure.
Lines closer than 0.1° are merged.

abc: 4.904 4.904 17.429
angles: 90.00 90.00 120.00
Fractional coordinates of all 26 atoms:
Li (0.000, 0.000, 0.250)
Li (0.000, 0.000, 0.750)
Li (0.333, 0.667, 0.021)
Li (0.333, 0.667, 0.479)
Li (0.333, 0.667, 0.750)
Li (0.667, 0.333, 0.250)
Li (0.667, 0.333, 0.521)
Li (0.667, 0.333, 0.979)
Al (0.000, 0.000, 0.000)
Al (0.000, 0.000, 0.500)
Al (0.333, 0.667, 0.171)
Al (0.333, 0.667, 0.329)
Al (0.667, 0.333, 0.671)
Al (0.667, 0.333, 0.829)
Cu (0.169, 0.337, 0.617)
Cu (0.169, 0.337, 0.883)
Cu (0.169, 0.831, 0.617)
Cu (0.169, 0.831, 0.883)
Cu (0.337, 0.169, 0.117)
Cu (0.337, 0.169, 0.383)
Cu (0.663, 0.831, 0.617)
Cu (0.663, 0.831, 0.883)
Cu (0.831, 0.169, 0.117)
Cu (0.831, 0.169, 0.383)
Cu (0.831, 0.663, 0.117)
Cu (0.831, 0.663, 0.383)

Most intense lines, 10° ≤ 2θ ≤ 90°, in order of falling intensity:
2θ 20.38, 4.357 Å, I = 100; 2θ 42.91, 2.108 Å, I = 45; 2θ 45.48, 1.994 Å, I = 42; 2θ 47.64, 1.909 Å, I = 24; 2θ 25.99, 3.428 Å, I = 21; 2θ 42.07, 2.148 Å, I = 17; 2θ 50.32, 1.813 Å, I = 17; 2θ 57.00, 1.616 Å, I = 17; 2θ 41.45, 2.179 Å, I = 16; 2θ 42.30, 2.137 Å, I = 16

=====

Record 3
This entry pairs a crystal structure of LiAl2Cu with its computed X-ray diffraction stick pattern. Radiation: a wavelength of 1.5418 Å. Structure: a GGA-PBE-relaxed structure.
Lines closer than 0.1° are merged.

abc: 6.015 6.015 6.015
angles: 90.00 90.00 90.00
Fractional coordinates of all 16 atoms:
Li (0.000, 0.000, 0.000)
Li (0.000, 0.500, 0.500)
Li (0.500, 0.000, 0.500)
Li (0.500, 0.500, 0.000)
Al (0.250, 0.250, 0.250)
Al (0.250, 0.250, 0.750)
Al (0.250, 0.750, 0.250)
Al (0.250, 0.750, 0.750)
Al (0.750, 0.250, 0.250)
Al (0.750, 0.250, 0.750)
Al (0.750, 0.750, 0.250)
Al (0.750, 0.750, 0.750)
Cu (0.000, 0.000, 0.500)
Cu (0.000, 0.500, 0.000)
Cu (0.500, 0.000, 0.000)
Cu (0.500, 0.500, 0.500)

Most intense lines, 10° ≤ 2θ ≤ 90°, in order of falling intensity:
2θ 42.51, 2.127 Å, I = 100; 2θ 25.65, 3.473 Å, I = 66; 2θ 77.79, 1.228 Å, I = 31; 2θ 50.31, 1.813 Å, I = 30; 2θ 61.69, 1.504 Å, I = 16; 2θ 67.93, 1.380 Å, I = 11; 2θ 83.52, 1.158 Å, I = 8; 2θ 29.71, 3.007 Å, I = 3; 2θ 52.72, 1.736 Å, I = 1; 2θ 69.95, 1.345 Å, I = 1

=====

Record 4
This entry pairs a crystal structure of LiAlCu2 with its computed X-ray diffraction stick pattern. Radiation: a wavelength of 1.5418 Å. Structure: a GGA-PBE-relaxed structure.
Lines closer than 0.1° are merged.

abc: 5.878 5.878 5.878
angles: 90.00 90.00 90.00
Fractional coordinates of all 16 atoms:
Li (0.000, 0.000, 0.000)
Li (0.000, 0.500, 0.500)
Li (0.500, 0.000, 0.500)
Li (0.500, 0.500, 0.000)
Al (0.000, 0.000, 0.500)
Al (0.000, 0.500, 0.000)
Al (0.500, 0.000, 0.000)
Al (0.500, 0.500, 0.500)
Cu (0.250, 0.250, 0.250)
Cu (0.250, 0.250, 0.750)
Cu (0.250, 0.750, 0.250)
Cu (0.250, 0.750, 0.750)
Cu (0.750, 0.250, 0.250)
Cu (0.750, 0.250, 0.750)
Cu (0.750, 0.750, 0.250)
Cu (0.750, 0.750, 0.750)

Most intense lines, 10° ≤ 2θ ≤ 90°, in order of falling intensity:
2θ 43.55, 2.078 Å, I = 100; 2θ 30.41, 2.939 Å, I = 53; 2θ 79.96, 1.200 Å, I = 30; 2θ 63.28, 1.470 Å, I = 15; 2θ 71.82, 1.314 Å, I = 15; 2θ 54.04, 1.697 Å, I = 13; 2θ 26.26, 3.394 Å, I = 5; 2θ 51.57, 1.772 Å, I = 2; 2θ 69.73, 1.349 Å, I = 1; 2θ 85.92, 1.131 Å, I = 1

=====

Record 5
This entry pairs a crystal structure of LuAl6Cu6 with its computed X-ray diffraction stick pattern. Radiation: a wavelength of 1.5418 Å. Structure: a GGA-PBE-relaxed structure.
Lines closer than 0.1° are merged.

abc: 6.581 6.581 6.581
angles: 134.71 99.18 97.87
Fractional coordinates of all 13 atoms:
Lu (0.000, 0.000, 0.000)
Al (0.202, 0.702, 0.500)
Al (0.345, 0.000, 0.345)
Al (0.348, 0.348, 0.000)
Al (0.652, 0.652, 0.000)
Al (0.655, 0.000, 0.655)
Al (0.798, 0.298, 0.500)
Cu (0.000, 0.000, 0.500)
Cu (0.000, 0.500, 0.000)
Cu (0.226, 0.500, 0.726)
Cu (0.500, 0.000, 0.000)
Cu (0.500, 0.500, 0.500)
Cu (0.774, 0.500, 0.274)

Most intense lines, 10° ≤ 2θ ≤ 90°, in order of falling intensity:
2θ 41.80, 2.161 Å, I = 100; 2θ 41.30, 2.186 Å, I = 73; 2θ 29.25, 3.053 Å, I = 62; 2θ 14.59, 6.073 Å, I = 59; 2θ 42.00, 2.151 Å, I = 40; 2θ 42.37, 2.133 Å, I = 40; 2θ 41.45, 2.179 Å, I = 35; 2θ 60.64, 1.527 Å, I = 35; 2θ 29.41, 3.037 Å, I = 30; 2θ 46.69, 1.946 Å, I = 29

=====

Record 6
This entry pairs a crystal structure of LuAlCu with its computed X-ray diffraction stick pattern. Radiation: a wavelength of 1.5418 Å. Structure: a GGA-PBE-relaxed structure.
Lines closer than 0.1° are merged.

abc: 5.326 5.364 7.407
angles: 90.00 90.00 90.00
Fractional coordinates of all 12 atoms:
Lu (0.000, 0.250, 0.125)
Lu (0.000, 0.750, 0.875)
Lu (0.500, 0.250, 0.375)
Lu (0.500, 0.750, 0.625)
Al (0.000, 0.000, 0.500)
Al (0.000, 0.500, 0.500)
Al (0.500, 0.000, 0.000)
Al (0.500, 0.500, 0.000)
Cu (0.250, 0.250, 0.750)
Cu (0.250, 0.750, 0.250)
Cu (0.750, 0.250, 0.750)
Cu (0.750, 0.750, 0.250)

Most intense lines, 10° ≤ 2θ ≤ 90°, in order of falling intensity:
2θ 33.89, 2.645 Å, I = 100; 2θ 39.70, 2.270 Å, I = 80; 2θ 20.52, 4.329 Å, I = 67; 2θ 40.23, 2.242 Å, I = 62; 2θ 39.54, 2.279 Å, I = 49; 2θ 33.41, 2.682 Å, I = 40; 2θ 71.31, 1.323 Å, I = 27; 2θ 60.03, 1.541 Å, I = 20; 2θ 60.34, 1.534 Å, I = 19; 2θ 63.97, 1.455 Å, I = 19

=====

Record 7
This entry pairs a crystal structure of LuAlCu2 with its computed X-ray diffraction stick pattern. Radiation: a wavelength of 1.5418 Å. Structure: a GGA-PBE-relaxed structure.
Lines closer than 0.1° are merged.

abc: 6.312 6.312 6.312
angles: 90.00 90.00 90.00
Fractional coordinates of all 16 atoms:
Lu (0.000, 0.000, 0.000)
Lu (0.000, 0.500, 0.500)
Lu (0.500, 0.000, 0.500)
Lu (0.500, 0.500, 0.000)
Al (0.000, 0.000, 0.500)
Al (0.000, 0.500, 0.000)
Al (0.500, 0.000, 0.000)
Al (0.500, 0.500, 0.500)
Cu (0.250, 0.250, 0.250)
Cu (0.250, 0.250, 0.750)
Cu (0.250, 0.750, 0.250)
Cu (0.250, 0.750, 0.750)
Cu (0.750, 0.250, 0.250)
Cu (0.750, 0.250, 0.750)
Cu (0.750, 0.750, 0.250)
Cu (0.750, 0.750, 0.750)

Most intense lines, 10° ≤ 2θ ≤ 90°, in order of falling intensity:
2θ 40.42, 2.232 Å, I = 100; 2θ 24.43, 3.644 Å, I = 46; 2θ 73.51, 1.288 Å, I = 33; 2θ 47.79, 1.903 Å, I = 23; 2θ 58.49, 1.578 Å, I = 16; 2θ 87.41, 1.116 Å, I = 10; 2θ 64.34, 1.448 Å, I = 10; 2θ 78.79, 1.215 Å, I = 7; 2θ 28.28, 3.156 Å, I = 4; 2θ 66.22, 1.411 Å, I = 2